# 1
Theoretical powder diffraction line list
Compound: TiP2S6
Radiation: CuKα
Structure: a crystal structure in the Materials Project, relaxed with PBE
No peak broadening, texture or thermal motion is included.

Most intense lines, 2θ from 10° to 80°, sorted by position:
2θ 13.9, I = 100; 2θ 16.7, I = 13; 2θ 17.5, I = 14; 2θ 24.8, I = 9; 2θ 26.8, I = 15; 2θ 31.1, I = 13; 2θ 33.5, I = 33; 2θ 40.1, I = 7; 2θ 41.0, I = 12; 2θ 46.3, I = 13

Structure:
a b c (Å): 7.0540 7.0540 11.3965
angles (deg): 101.96 101.96 109.29
Positions (direct):
Ti 0.0000 0.0000 0.0000
Ti 0.2541 0.7459 0.5050
P 0.0032 0.8790 0.6769
P 0.0445 0.4108 0.1741
P 0.1261 0.7529 0.1729
P 0.6770 0.8006 0.6764
S 0.0684 0.9900 0.5328
S 0.0697 0.6204 0.6532
S 0.1639 0.1111 0.8421
S 0.2426 0.8156 0.0322
S 0.2813 0.3233 0.1544
S 0.3567 0.9075 0.3413
S 0.4599 0.5367 0.5288
S 0.5735 0.0338 0.6505
S 0.6880 0.7310 0.8478
S 0.7956 0.2102 0.0338
S 0.8762 0.8268 0.1573
S 0.9834 0.4388 0.3419

***

# 2
Theoretical powder diffraction line list
Compound: Sr6MgTe8O22
Radiation: CuKα
Structure: a crystal structure in the Materials Project, relaxed with PBE
No peak broadening, texture or thermal motion is included.

Most intense lines, 2θ from 10° to 80°, sorted by position:
2θ 19.5, I = 34; 2θ 26.4, I = 100; 2θ 26.9, I = 65; 2θ 27.3, I = 82; 2θ 28.5, I = 79; 2θ 29.3, I = 99; 2θ 29.4, I = 36; 2θ 29.8, I = 95; 2θ 39.2, I = 40; 2θ 50.0, I = 33

Structure:
a b c (Å): 8.0526 9.4104 9.6003
angles (deg): 101.50 107.32 103.84
Positions (direct):
Sr 0.0000 0.0000 0.0000
Sr 0.0236 0.4599 0.4629
Sr 0.4194 0.4385 0.2326
Sr 0.4901 0.9210 0.7324
Sr 0.5467 0.0229 0.1530
Sr 0.8185 0.8918 0.4893
Mg 0.1052 0.8182 0.7133
Te 0.1923 0.7581 0.3206
Te 0.2202 0.6768 0.9450
Te 0.2555 0.2446 0.8026
Te 0.2622 0.1617 0.4195
Te 0.6433 0.5985 0.6388
Te 0.6713 0.6705 0.0471
Te 0.7677 0.2302 0.6342
Te 0.7980 0.3174 0.0548
O 0.0148 0.8155 0.1828
O 0.0509 0.3060 0.6829
O 0.0858 0.7521 0.4775
O 0.1302 0.5437 0.2414
O 0.1509 0.0293 0.6892
O 0.1922 0.2415 0.9742
O 0.2259 0.8938 0.9427
O 0.2430 0.6684 0.7411
O 0.3194 0.3767 0.4802
O 0.3323 0.1479 0.2483
O 0.4218 0.5235 0.9685
O 0.4635 0.1255 0.5615
O 0.5150 0.7025 0.5157
O 0.5673 0.1561 0.9460
O 0.6467 0.7672 0.2276
O 0.6574 0.8361 0.9588
O 0.7168 0.4879 0.4955
O 0.7225 0.4174 0.2032
O 0.7476 0.1281 0.4364
O 0.7783 0.0662 0.7195
O 0.8581 0.7762 0.7184
O 0.9074 0.2001 0.1709

***

# 3
Theoretical powder diffraction line list
Compound: SnO2
Radiation: CuKα
Structure: a crystal structure in the Materials Project, relaxed with PBE
No peak broadening, texture or thermal motion is included.

Most intense lines, 2θ from 10° to 80°, sorted by position:
2θ 30.0, I = 100; 2θ 34.2, I = 12; 2θ 34.8, I = 14; 2θ 35.3, I = 12; 2θ 49.6, I = 15; 2θ 50.0, I = 15; 2θ 50.4, I = 16; 2θ 58.6, I = 13; 2θ 59.4, I = 15; 2θ 60.1, I = 16

Structure:
a b c (Å): 5.1568 10.1620 5.2470
angles (deg): 90.00 90.00 90.00
Positions (direct):
Sn 0.2317 0.1180 0.0321
Sn 0.2317 0.3820 0.5321
Sn 0.2683 0.6180 0.0321
Sn 0.2683 0.8820 0.5321
Sn 0.7317 0.1180 0.4679
Sn 0.7317 0.3820 0.9679
Sn 0.7683 0.6180 0.4679
Sn 0.7683 0.8820 0.9679
O 0.0015 0.5219 0.7593
O 0.0015 0.9781 0.2593
O 0.1304 0.7106 0.3684
O 0.1304 0.7894 0.8684
O 0.3696 0.2106 0.3684
O 0.3696 0.2894 0.8684
O 0.4985 0.0219 0.7593
O 0.4985 0.4781 0.2593
O 0.5015 0.5219 0.7407
O 0.5015 0.9781 0.2407
O 0.6304 0.7106 0.1316
O 0.6304 0.7894 0.6316
O 0.8696 0.2106 0.1316
O 0.8696 0.2894 0.6316
O 0.9985 0.0219 0.7407
O 0.9985 0.4781 0.2407

***

# 4
Theoretical powder diffraction line list
Compound: VSiN2
Radiation: CuKα
Structure: a crystal structure in the Materials Project, relaxed with PBE
No peak broadening, texture or thermal motion is included.

Most intense lines, 2θ from 10° to 80°, sorted by position:
2θ 22.1, I = 21; 2θ 33.6, I = 54; 2θ 34.3, I = 66; 2θ 36.1, I = 36; 2θ 37.8, I = 100; 2θ 40.1, I = 47; 2θ 48.8, I = 20; 2θ 63.3, I = 29; 2θ 63.8, I = 36; 2θ 74.0, I = 22

Structure:
a b c (Å): 4.9809 6.3286 5.2226
angles (deg): 90.00 90.00 90.00
Positions (direct):
V 0.0743 0.1565 0.0000
V 0.4257 0.6565 0.5000
V 0.5743 0.3435 0.0000
V 0.9257 0.8435 0.5000
Si 0.0939 0.6189 0.9643
Si 0.4061 0.1189 0.4643
Si 0.5939 0.8811 0.9643
Si 0.9061 0.3811 0.4643
N 0.0573 0.5921 0.3005
N 0.0650 0.1409 0.3885
N 0.4350 0.6409 0.8885
N 0.4427 0.0921 0.8005
N 0.5573 0.9079 0.3005
N 0.5650 0.3591 0.3885
N 0.9350 0.8591 0.8885
N 0.9427 0.4079 0.8005

***

# 5
Theoretical powder diffraction line list
Compound: Na2TePO11
Radiation: CuKα
Structure: a crystal structure in the Materials Project, relaxed with PBE
No peak broadening, texture or thermal motion is included.

Most intense lines, 2θ from 10° to 80°, sorted by position:
2θ 12.0, I = 60; 2θ 17.8, I = 85; 2θ 17.9, I = 38; 2θ 20.6, I = 100; 2θ 20.7, I = 55; 2θ 24.1, I = 50; 2θ 24.7, I = 74; 2θ 24.7, I = 37; 2θ 29.4, I = 27; 2θ 38.2, I = 31

Structure:
a b c (Å): 6.0874 14.7794 6.1193
angles (deg): 90.00 119.59 90.00
Positions (direct):
Na 0.1687 0.0000 0.3303
Na 0.1693 0.2315 0.3327
Na 0.8313 0.5000 0.6697
Na 0.8307 0.7315 0.6673
Te 0.1683 0.6826 0.3270
Te 0.8317 0.1826 0.6730
P 0.4930 0.9507 0.9954
P 0.5070 0.4507 0.0046
O 0.0530 0.1203 0.9805
O 0.0640 0.6245 0.5455
O 0.1179 0.2500 0.6928
O 0.1646 0.3987 0.3280
O 0.1947 0.7489 0.0690
O 0.2248 0.4254 0.8338
O 0.3241 0.9180 0.1008
O 0.3769 0.9209 0.7192
O 0.4204 0.7451 0.6270
O 0.4761 0.5554 0.9821
O 0.4823 0.6194 0.4336
O 0.5177 0.1194 0.5664
O 0.5239 0.0554 0.0179
O 0.5796 0.2451 0.3730
O 0.6231 0.4209 0.2808
O 0.6759 0.4180 0.8992
O 0.7752 0.9254 0.1662
O 0.8053 0.2489 0.9310
O 0.8354 0.8987 0.6720
O 0.8821 0.7500 0.3072
O 0.9360 0.1245 0.4545
O 0.9470 0.6203 0.0195

***

# 6
Theoretical powder diffraction line list
Compound: LiGaO2
Radiation: CuKα
Structure: a crystal structure in the Materials Project, relaxed with PBE
No peak broadening, texture or thermal motion is included.

Most intense lines, 2θ from 10° to 80°, sorted by position:
2θ 18.2, I = 100; 2θ 35.7, I = 45; 2θ 37.3, I = 19; 2θ 43.2, I = 70; 2θ 47.2, I = 16; 2θ 56.9, I = 16; 2θ 62.4, I = 20; 2θ 63.0, I = 20; 2θ 66.2, I = 17; 2θ 79.4, I = 10

Structure:
a b c (Å): 5.1732 5.1732 5.1732
angles (deg): 33.14 33.14 33.14
Positions (direct):
Li 0.0000 0.0000 0.0000
Ga 0.5000 0.5000 0.5000
O 0.2415 0.2415 0.2415
O 0.7585 0.7585 0.7585

***

# 7
Theoretical powder diffraction line list
Compound: SbO2
Radiation: CuKα
Structure: a crystal structure in the Materials Project, relaxed with PBE
No peak broadening, texture or thermal motion is included.

Most intense lines, 2θ from 10° to 80°, sorted by position:
2θ 29.2, I = 100; 2θ 33.9, I = 27; 2θ 48.7, I = 54; 2θ 57.8, I = 43; 2θ 60.6, I = 8; 2θ 71.3, I = 8; 2θ 78.8, I = 17

Structure:
a b c (Å): 7.4855 7.4855 7.4855
angles (deg): 60.00 60.00 60.00
Positions (direct):
Sb 0.0000 0.0000 0.0000
Sb 0.0000 0.0000 0.5000
Sb 0.0000 0.5000 0.0000
Sb 0.0000 0.5000 0.5000
Sb 0.5000 0.0000 0.0000
Sb 0.5000 0.0000 0.5000
Sb 0.5000 0.5000 0.0000
Sb 0.5000 0.5000 0.5000
O 0.1042 0.1042 0.6458
O 0.1042 0.6458 0.1042
O 0.1042 0.6458 0.6458
O 0.1250 0.1250 0.1250
O 0.3542 0.3542 0.8958
O 0.3542 0.8958 0.3542
O 0.3542 0.8958 0.8958
O 0.3750 0.3750 0.3750
O 0.6250 0.6250 0.6250
O 0.6458 0.1042 0.1042
O 0.6458 0.1042 0.6458
O 0.6458 0.6458 0.1042
O 0.8750 0.8750 0.8750
O 0.8958 0.3542 0.3542
O 0.8958 0.3542 0.8958
O 0.8958 0.8958 0.3542

***

# 8
Theoretical powder diffraction line list
Compound: NiH
Radiation: CuKα
Structure: a crystal structure in the Materials Project, relaxed with PBE
No peak broadening, texture or thermal motion is included.

Most intense lines, 2θ from 10° to 80°, sorted by position:
2θ 42.2, I = 100; 2θ 49.1, I = 50; 2θ 71.9, I = 29

Structure:
a b c (Å): 2.6249 2.6249 2.6249
angles (deg): 60.00 60.00 60.00
Positions (direct):
Ni 0.0000 0.0000 0.0000
H 0.5000 0.5000 0.5000

***

Repeat the seventh record exactly.
Theoretical powder diffraction line list
Compound: SbO2
Radiation: CuKα
Structure: a crystal structure in the Materials Project, relaxed with PBE
No peak broadening, texture or thermal motion is included.

Most intense lines, 2θ from 10° to 80°, sorted by position:
2θ 29.2, I = 100; 2θ 33.9, I = 27; 2θ 48.7, I = 54; 2θ 57.8, I = 43; 2θ 60.6, I = 8; 2θ 71.3, I = 8; 2θ 78.8, I = 17

Structure:
a b c (Å): 7.4855 7.4855 7.4855
angles (deg): 60.00 60.00 60.00
Positions (direct):
Sb 0.0000 0.0000 0.0000
Sb 0.0000 0.0000 0.5000
Sb 0.0000 0.5000 0.0000
Sb 0.0000 0.5000 0.5000
Sb 0.5000 0.0000 0.0000
Sb 0.5000 0.0000 0.5000
Sb 0.5000 0.5000 0.0000
Sb 0.5000 0.5000 0.5000
O 0.1042 0.1042 0.6458
O 0.1042 0.6458 0.1042
O 0.1042 0.6458 0.6458
O 0.1250 0.1250 0.1250
O 0.3542 0.3542 0.8958
O 0.3542 0.8958 0.3542
O 0.3542 0.8958 0.8958
O 0.3750 0.3750 0.3750
O 0.6250 0.6250 0.6250
O 0.6458 0.1042 0.1042
O 0.6458 0.1042 0.6458
O 0.6458 0.6458 0.1042
O 0.8750 0.8750 0.8750
O 0.8958 0.3542 0.3542
O 0.8958 0.3542 0.8958
O 0.8958 0.8958 0.3542